Starting from a cell relaxed with PBE, the X-ray diffraction stick pattern of Ho4O7 was calculated for Cu Kα X-rays.
No peak broadening, texture or thermal motion is included.

Cell and atoms:
Cell: 7.966 5.627 5.627 Å, 35.75 90.00 90.00°
Atoms (fractional coordinates):
1 Ho 0.000 0.000 0.000
2 Ho 0.242 0.283 0.283
3 Ho 0.500 0.993 0.993
4 Ho 0.758 0.283 0.283
5 O 0.000 0.371 0.371
6 O 0.000 0.646 0.646
7 O 0.248 0.911 0.911
8 O 0.403 0.643 0.643
9 O 0.500 0.364 0.364
10 O 0.597 0.643 0.643
11 O 0.752 0.911 0.911

Largest 10 diffraction maxima, in order of rising 2θ, 2θ = 10–90°:
| Position (°2θ) | d_spacing | Rel. int. |
| --- | --- | --- |
| 27.13 | 3.287 | 37 |
| 27.92 | 3.196 | 100 |
| 33.46 | 2.678 | 19 |
| 35.41 | 2.535 | 57 |
| 36.19 | 2.482 | 60 |
| 42.93 | 2.107 | 19 |
| 45.55 | 1.991 | 17 |
| 55.50 | 1.656 | 36 |
| 59.51 | 1.553 | 23 |
| 60.98 | 1.519 | 23 |

Starting from a cell relaxed with PBE, the X-ray diffraction stick pattern of Dy2Y2CI2Br2Cl was calculated for Cu Kα X-rays.
No peak broadening, texture or thermal motion is included.

Cell and atoms:
Cell: 9.518 9.518 8.033 Å, 100.83 100.83 23.31°
Atoms (fractional coordinates):
1 Dy 0.002 0.002 0.295
2 Dy 0.998 0.998 0.705
3 Y 0.369 0.369 0.440
4 Y 0.631 0.631 0.560
5 C 0.500 0.500 0.500
6 I 0.164 0.164 0.855
7 I 0.836 0.836 0.145
8 Br 0.164 0.164 0.320
9 Br 0.836 0.836 0.680
10 Cl 0.500 0.500 0.000

Largest 10 diffraction maxima, in order of rising 2θ, 2θ = 10–90°:
| Position (°2θ) | d_spacing | Rel. int. |
| --- | --- | --- |
| 13.35 | 6.634 | 19 |
| 22.79 | 3.902 | 19 |
| 23.65 | 3.763 | 35 |
| 29.29 | 3.049 | 53 |
| 30.79 | 2.904 | 20 |
| 32.23 | 2.777 | 100 |
| 33.82 | 2.650 | 35 |
| 43.72 | 2.070 | 28 |
| 44.49 | 2.036 | 30 |
| 47.28 | 1.922 | 19 |

Starting from a cell relaxed with PBE, the X-ray diffraction stick pattern of Co15Te was calculated for Cu Kα X-rays.
No peak broadening, texture or thermal motion is included.

Cell and atoms:
Cell: 4.958 3.510 33.294 Å, 90.00 90.02 90.00°
Atoms (fractional coordinates):
1 Co 0.124 0.250 0.093
2 Co 0.125 0.250 0.019
3 Co 0.125 0.250 0.724
4 Co 0.125 0.250 0.796
5 Co 0.125 0.250 0.870
6 Co 0.125 0.250 0.944
7 Co 0.126 0.250 0.167
8 Co 0.126 0.250 0.241
9 Co 0.374 0.750 0.907
10 Co 0.375 0.750 0.055
11 Co 0.375 0.750 0.130
12 Co 0.375 0.750 0.203
13 Co 0.375 0.750 0.982
14 Co 0.376 0.750 0.759
15 Co 0.376 0.750 0.833
16 Co 0.624 0.250 0.167
17 Co 0.624 0.250 0.241
18 Co 0.625 0.250 0.018
19 Co 0.625 0.250 0.797
20 Co 0.625 0.250 0.870
21 Co 0.625 0.250 0.945
22 Co 0.626 0.250 0.093
23 Co 0.874 0.750 0.759
24 Co 0.874 0.750 0.833
25 Co 0.875 0.750 0.056
26 Co 0.875 0.750 0.130
27 Co 0.875 0.750 0.204
28 Co 0.875 0.750 0.276
29 Co 0.875 0.750 0.981
30 Co 0.876 0.750 0.907
31 Te 0.375 0.750 0.290
32 Te 0.625 0.250 0.710

Largest 10 diffraction maxima, in order of rising 2θ, 2θ = 10–90°:
| Position (°2θ) | d_spacing | Rel. int. |
| --- | --- | --- |
| 10.63 | 8.324 | 34 |
| 43.75 | 2.069 | 83 |
| 44.76 | 2.025 | 100 |
| 44.84 | 2.021 | 43 |
| 46.11 | 1.969 | 53 |
| 51.29 | 1.781 | 51 |
| 52.14 | 1.754 | 46 |
| 53.39 | 1.716 | 32 |
| 76.15 | 1.250 | 29 |
| 77.85 | 1.227 | 18 |

Starting from a cell relaxed with PBE, the X-ray diffraction stick pattern of NdSmFe2Pb was calculated for Cu Kα X-rays.
No peak broadening, texture or thermal motion is included.

Cell and atoms:
Cell: 3.947 3.988 14.475 Å, 90.00 90.00 90.00°
Atoms (fractional coordinates):
1 Nd 0.000 0.000 0.000
2 Nd 0.000 0.500 0.500
3 Sm 0.000 0.000 0.274
4 Sm 0.000 0.500 0.774
5 Fe 0.500 0.000 0.429
6 Fe 0.500 0.000 0.843
7 Fe 0.500 0.500 0.343
8 Fe 0.500 0.500 0.929
9 Pb 0.500 0.000 0.638
10 Pb 0.500 0.500 0.138

Largest 10 diffraction maxima, in order of rising 2θ, 2θ = 10–90°:
| Position (°2θ) | d_spacing | Rel. int. |
| --- | --- | --- |
| 29.05 | 3.074 | 49 |
| 32.51 | 2.754 | 100 |
| 33.60 | 2.667 | 73 |
| 38.42 | 2.343 | 33 |
| 45.49 | 1.994 | 20 |
| 45.99 | 1.973 | 20 |
| 55.18 | 1.664 | 18 |
| 55.32 | 1.661 | 17 |
| 57.73 | 1.597 | 31 |
| 61.43 | 1.509 | 17 |

Starting from a cell relaxed with PBE, the X-ray diffraction stick pattern of CsSmB3H12 was calculated for Cu Kα X-rays.
No peak broadening, texture or thermal motion is included.

Cell and atoms:
Cell: 5.910 5.910 5.756 Å, 90.00 90.00 90.00°
Atoms (fractional coordinates):
1 Cs 0.000 0.000 0.000
2 Sm 0.500 0.500 0.500
3 B 0.000 0.500 0.466
4 B 0.500 0.000 0.534
5 B 0.500 0.500 0.000
6 H 0.000 0.327 0.352
7 H 0.000 0.673 0.352
8 H 0.149 0.500 0.615
9 H 0.327 0.000 0.648
10 H 0.328 0.500 0.879
11 H 0.500 0.149 0.385
12 H 0.500 0.328 0.121
13 H 0.500 0.672 0.121
14 H 0.500 0.851 0.385
15 H 0.672 0.500 0.879
16 H 0.673 0.000 0.648
17 H 0.851 0.500 0.615

Largest 10 diffraction maxima, in order of rising 2θ, 2θ = 10–90°:
| Position (°2θ) | d_spacing | Rel. int. |
| --- | --- | --- |
| 21.26 | 4.179 | 51 |
| 21.55 | 4.124 | 100 |
| 30.25 | 2.955 | 29 |
| 31.07 | 2.878 | 13 |
| 37.44 | 2.402 | 50 |
| 37.96 | 2.370 | 25 |
| 43.91 | 2.062 | 19 |
| 58.55 | 1.576 | 14 |
| 58.92 | 1.567 | 14 |
| 59.54 | 1.553 | 13 |

Starting from a cell relaxed with PBE, the X-ray diffraction stick pattern of Sc3In3Pd2Pt was calculated for Cu Kα X-rays.
No peak broadening, texture or thermal motion is included.

Cell and atoms:
Cell: 7.645 7.645 3.513 Å, 90.00 90.00 120.00°
Atoms (fractional coordinates):
1 Sc 0.000 0.393 0.000
2 Sc 0.393 0.000 0.000
3 Sc 0.607 0.607 0.000
4 In 0.000 0.723 0.500
5 In 0.277 0.277 0.500
6 In 0.723 0.000 0.500
7 Pd 0.333 0.667 0.500
8 Pd 0.667 0.333 0.500
9 Pt 0.000 0.000 0.000

Largest 10 diffraction maxima, in order of rising 2θ, 2θ = 10–90°:
| Position (°2θ) | d_spacing | Rel. int. |
| --- | --- | --- |
| 13.37 | 6.621 | 46 |
| 23.27 | 3.823 | 52 |
| 28.77 | 3.103 | 35 |
| 34.68 | 2.587 | 78 |
| 35.88 | 2.503 | 28 |
| 37.32 | 2.409 | 100 |
| 40.89 | 2.207 | 91 |
| 44.45 | 2.038 | 84 |
| 67.14 | 1.394 | 48 |
| 68.24 | 1.374 | 39 |

Starting from a cell relaxed with PBE, the X-ray diffraction stick pattern of HfMg2Nb was calculated for Cu Kα X-rays.
No peak broadening, texture or thermal motion is included.

Cell and atoms:
Cell: 6.889 6.889 6.889 Å, 90.00 90.00 90.00°
Atoms (fractional coordinates):
1 Hf 0.000 0.000 0.000
2 Hf 0.000 0.500 0.500
3 Hf 0.500 0.000 0.500
4 Hf 0.500 0.500 0.000
5 Mg 0.000 0.000 0.500
6 Mg 0.000 0.500 0.000
7 Mg 0.250 0.250 0.250
8 Mg 0.250 0.750 0.750
9 Mg 0.500 0.000 0.000
10 Mg 0.500 0.500 0.500
11 Mg 0.750 0.250 0.750
12 Mg 0.750 0.750 0.250
13 Nb 0.250 0.250 0.750
14 Nb 0.250 0.750 0.250
15 Nb 0.750 0.250 0.250
16 Nb 0.750 0.750 0.750

Largest 10 diffraction maxima, in order of rising 2θ, 2θ = 10–90°:
| Position (°2θ) | d_spacing | Rel. int. |
| --- | --- | --- |
| 22.35 | 3.977 | 63 |
| 25.87 | 3.444 | 7 |
| 36.91 | 2.435 | 100 |
| 43.58 | 2.077 | 33 |
| 53.19 | 1.722 | 17 |
| 58.39 | 1.580 | 14 |
| 66.49 | 1.406 | 35 |
| 71.11 | 1.326 | 11 |
| 78.55 | 1.218 | 11 |
| 82.92 | 1.164 | 11 |

Starting from a cell relaxed with PBE, the X-ray diffraction stick pattern of Ge9Pd25 was calculated for Cu Kα X-rays.
No peak broadening, texture or thermal motion is included.

Cell and atoms:
Cell: 7.476 7.476 10.754 Å, 90.00 90.00 120.00°
Atoms (fractional coordinates):
1 Ge 0.000 0.000 0.000
2 Ge 0.007 0.342 0.679
3 Ge 0.333 0.667 0.977
4 Ge 0.335 0.993 0.679
5 Ge 0.342 0.335 0.321
6 Ge 0.658 0.665 0.679
7 Ge 0.665 0.007 0.321
8 Ge 0.667 0.333 0.023
9 Ge 0.993 0.658 0.321
10 Pd 0.000 0.000 0.249
11 Pd 0.000 0.000 0.500
12 Pd 0.000 0.000 0.751
13 Pd 0.068 0.723 0.079
14 Pd 0.074 0.381 0.432
15 Pd 0.089 0.675 0.813
16 Pd 0.277 0.346 0.079
17 Pd 0.307 0.926 0.432
18 Pd 0.325 0.415 0.813
19 Pd 0.333 0.667 0.242
20 Pd 0.333 0.667 0.609
21 Pd 0.346 0.068 0.921
22 Pd 0.381 0.307 0.568
23 Pd 0.415 0.089 0.187
24 Pd 0.585 0.911 0.813
25 Pd 0.619 0.693 0.432
26 Pd 0.654 0.932 0.079
27 Pd 0.667 0.333 0.391
28 Pd 0.667 0.333 0.758
29 Pd 0.675 0.585 0.187
30 Pd 0.693 0.074 0.568
31 Pd 0.723 0.654 0.921
32 Pd 0.911 0.325 0.187
33 Pd 0.926 0.619 0.568
34 Pd 0.932 0.277 0.921

Largest 10 diffraction maxima, in order of rising 2θ, 2θ = 10–90°:
| Position (°2θ) | d_spacing | Rel. int. |
| --- | --- | --- |
| 37.43 | 2.403 | 41 |
| 37.70 | 2.386 | 44 |
| 40.50 | 2.227 | 16 |
| 41.37 | 2.183 | 100 |
| 41.86 | 2.158 | 78 |
| 44.84 | 2.021 | 22 |
| 60.31 | 1.535 | 11 |
| 68.36 | 1.372 | 16 |
| 72.70 | 1.301 | 12 |
| 75.10 | 1.265 | 15 |

Starting from a cell relaxed with PBE, the X-ray diffraction stick pattern of NdInHg3S4 was calculated for Cu Kα X-rays.
No peak broadening, texture or thermal motion is included.

Cell and atoms:
Cell: 6.748 6.748 6.748 Å, 90.00 90.00 90.00°
Atoms (fractional coordinates):
1 Nd 0.000 0.000 0.000
2 In 0.500 0.500 0.500
3 Hg 0.000 0.000 0.500
4 Hg 0.000 0.500 0.000
5 Hg 0.500 0.000 0.000
6 S 0.228 0.228 0.772
7 S 0.228 0.772 0.228
8 S 0.772 0.228 0.228
9 S 0.772 0.772 0.772

Largest 10 diffraction maxima, in order of rising 2θ, 2θ = 10–90°:
| Position (°2θ) | d_spacing | Rel. int. |
| --- | --- | --- |
| 13.12 | 6.748 | 39 |
| 22.83 | 3.896 | 85 |
| 26.42 | 3.374 | 69 |
| 29.60 | 3.018 | 17 |
| 37.70 | 2.386 | 100 |
| 44.53 | 2.035 | 45 |
| 46.62 | 1.948 | 21 |
| 59.73 | 1.548 | 19 |
| 61.45 | 1.509 | 29 |
| 68.07 | 1.377 | 34 |

Starting from a cell relaxed with PBE, the X-ray diffraction stick pattern of Re2P5 was calculated for Cu Kα X-rays.
No peak broadening, texture or thermal motion is included.

Cell and atoms:
Cell: 7.370 8.271 8.381 Å, 69.79 67.73 87.07°
Atoms (fractional coordinates):
1 Re 0.056 0.088 0.098
2 Re 0.178 0.520 0.250
3 Re 0.304 0.142 0.710
4 Re 0.426 0.578 0.857
5 Re 0.574 0.422 0.143
6 Re 0.696 0.858 0.290
7 Re 0.822 0.480 0.750
8 Re 0.944 0.912 0.902
9 P 0.024 0.781 0.169
10 P 0.107 0.414 0.048
11 P 0.136 0.040 0.367
12 P 0.161 0.583 0.521
13 P 0.271 0.843 0.740
14 P 0.281 0.252 0.405
15 P 0.320 0.835 0.464
16 P 0.376 0.451 0.637
17 P 0.398 0.084 0.953
18 P 0.466 0.693 0.055
19 P 0.534 0.307 0.945
20 P 0.602 0.916 0.047
21 P 0.624 0.549 0.363
22 P 0.680 0.165 0.536
23 P 0.719 0.748 0.595
24 P 0.729 0.157 0.260
25 P 0.839 0.417 0.479
26 P 0.864 0.960 0.633
27 P 0.893 0.586 0.952
28 P 0.976 0.219 0.831

Largest 10 diffraction maxima, in order of rising 2θ, 2θ = 10–90°:
| Position (°2θ) | d_spacing | Rel. int. |
| --- | --- | --- |
| 12.20 | 7.257 | 54 |
| 16.02 | 5.531 | 96 |
| 16.57 | 5.351 | 52 |
| 20.02 | 4.435 | 65 |
| 24.18 | 3.681 | 72 |
| 25.45 | 3.500 | 44 |
| 27.75 | 3.215 | 41 |
| 32.04 | 2.793 | 100 |
| 33.16 | 2.702 | 100 |
| 48.31 | 1.884 | 40 |

Starting from a cell relaxed with PBE, the X-ray diffraction stick pattern of Tm2LuFe6Co3 was calculated for Cu Kα X-rays.
No peak broadening, texture or thermal motion is included.

Cell and atoms:
Cell: 8.562 8.562 8.562 Å, 33.69 33.69 33.69°
Atoms (fractional coordinates):
1 Tm 0.142 0.142 0.142
2 Tm 0.858 0.858 0.858
3 Lu 0.000 0.000 0.000
4 Fe 0.081 0.583 0.583
5 Fe 0.417 0.417 0.919
6 Fe 0.417 0.919 0.417
7 Fe 0.583 0.081 0.583
8 Fe 0.583 0.583 0.081
9 Fe 0.919 0.417 0.417
10 Co 0.333 0.333 0.333
11 Co 0.500 0.500 0.500
12 Co 0.667 0.667 0.667

Largest 10 diffraction maxima, in order of rising 2θ, 2θ = 10–90°:
| Position (°2θ) | d_spacing | Rel. int. |
| --- | --- | --- |
| 21.00 | 4.231 | 14 |
| 33.26 | 2.694 | 50 |
| 36.21 | 2.481 | 53 |
| 36.31 | 2.474 | 33 |
| 42.23 | 2.140 | 33 |
| 42.78 | 2.114 | 100 |
| 63.25 | 1.470 | 16 |
| 65.16 | 1.432 | 21 |
| 69.66 | 1.350 | 22 |
| 76.84 | 1.241 | 18 |

Starting from a cell relaxed with PBE, the X-ray diffraction stick pattern of YSnAuSe2S was calculated for Cu Kα X-rays.
No peak broadening, texture or thermal motion is included.

Cell and atoms:
Cell: 7.090 7.090 10.294 Å, 90.00 90.00 146.59°
Atoms (fractional coordinates):
1 Y 0.000 0.000 0.000
2 Y 0.000 0.000 0.500
3 Sn 0.254 0.746 0.750
4 Sn 0.746 0.254 0.250
5 Au 0.470 0.530 0.250
6 Au 0.530 0.470 0.750
7 Se 0.351 0.649 0.052
8 Se 0.351 0.649 0.448
9 Se 0.649 0.351 0.552
10 Se 0.649 0.351 0.948
11 S 0.089 0.911 0.250
12 S 0.911 0.089 0.750

Largest 10 diffraction maxima, in order of rising 2θ, 2θ = 10–90°:
| Position (°2θ) | d_spacing | Rel. int. |
| --- | --- | --- |
| 13.04 | 6.791 | 26 |
| 22.78 | 3.904 | 29 |
| 28.70 | 3.110 | 40 |
| 30.77 | 2.906 | 76 |
| 31.57 | 2.834 | 30 |
| 34.35 | 2.611 | 100 |
| 34.84 | 2.575 | 62 |
| 39.69 | 2.271 | 24 |
| 43.72 | 2.070 | 37 |
| 44.46 | 2.038 | 32 |